Structure and simulated powder X-ray diffraction pattern of GaHPd6Pb2 (a crystal structure in Alexandria, relaxed with PBE; CuKα).
No peak broadening, texture or thermal motion is included.

Structure:
Lattice parameters (Å, degrees): 5.597 5.628 6.786 67.50 67.34 61.37
Fractional positions:
Ga1 0.000 0.000 0.000
H1 0.500 0.500 0.500
Pd1 0.182 0.686 0.346
Pd2 0.287 0.288 0.755
Pd3 0.311 0.821 0.652
Pd4 0.689 0.179 0.348
Pd5 0.713 0.712 0.245
Pd6 0.818 0.314 0.654
Pb1 0.242 0.240 0.207
Pb2 0.758 0.760 0.793

Largest 12 diffraction maxima, most intense first, 2θ from 5° to 70°:
(hkl)  Position (°2θ)  I (rel.)
2 0 2  41.98  100
2 2 1  37.50  94
0 0 2  29.42  55
2 0 0  37.81  47
1 1 3  39.87  46
1 1 -2  43.41  41
2 2 2  38.93  40
1 1 0  20.58  22
-1 1 1  34.69  18
2 -2 0  65.13  18
1 -1 1  34.57  17
2 2 0  41.83  17